# Cs2HfPS6
Theoretical XRD peak list, Cu Kα, 1.54184 Å. Input: a crystal structure in Alexandria, relaxed with GGA-PBE.
Kinematic intensities with the Lorentz-polarization factor, no thermal factor.

Structural model:
Cell lengths 7.560, 7.560, 5.993 Å; angles 90.00, 90.00, 120.00 degrees
Atoms (fractional coordinates):
1 Cs 0.333 0.667 0.262
2 Cs 0.667 0.333 0.738
3 Hf 0.000 0.000 0.000
4 P 0.000 0.000 0.500
5 S 0.143 0.285 0.716
6 S 0.143 0.857 0.716
7 S 0.285 0.143 0.284
8 S 0.715 0.857 0.716
9 S 0.857 0.143 0.284
10 S 0.857 0.715 0.284

Principal peaks in the range 2θ from 5° to 70°, sorted by position:
- d = 6.548 Å, 2θ 13.52, rel. 50
- d = 4.421 Å, 2θ 20.09, rel. 88
- d = 3.780 Å, 2θ 23.53, rel. 98
- d = 2.873 Å, 2θ 31.13, rel. 100
- d = 2.725 Å, 2θ 32.87, rel. 37
- d = 2.287 Å, 2θ 39.39, rel. 28
- d = 2.210 Å, 2θ 40.83, rel. 49
- d = 1.909 Å, 2θ 47.65, rel. 56
- d = 1.890 Å, 2θ 48.14, rel. 31
- d = 1.553 Å, 2θ 59.51, rel. 23